Starting from DFT lattice parameters and positions (GGA+U), the powder diffraction line list of Be2CrAsO8 was calculated for Cu Kα.
Peak positions follow from Bragg's law for the DFT cell and can differ from measured ones.

The 8 most intense peaks (10 to 90 degrees two-theta), in order of falling intensity:
- hkl 1 0 0, 19.84°, rel. 100.0
- hkl 1 1 0, 34.73°, rel. 28.1
- hkl 0 1 2, 39.77°, rel. 26.4
- hkl 1 1 2, 49.47°, rel. 23.0
- hkl 2 0 2, 53.81°, rel. 22.4
- hkl 1 2 2, 65.65°, rel. 15.5
- hkl 0 1 1, 26.15°, rel. 10.7
- hkl 0 2 1, 43.99°, rel. 10.1

Atomic structure:
Lattice parameters (Å, degrees): 5.1661 5.1661 5.2577 90.00 90.00 120.00
Space group P-3 (No. 147)
Inequivalent atoms, fractional coordinates:
Be 0.3333 0.6667 0.2896
Cr 0.0000 0.0000 0.5000
As 0.0000 0.0000 0.0000
O 0.1099 0.7958 0.2300
O 0.3333 0.6667 0.6198